[1]
# Ta2ReOs
Theoretical powder diffraction line list, λ = 1.5418 Å (Cu Kα). Input: a structure optimized by DFT (PBE).

Principal peaks in the range 2θ = 10–90°, low angle first:
| 2θ (°) | d_spacing | I/Imax |
| --- | --- | --- |
| 39.9 | 2.261 | 100 |
| 57.7 | 1.599 | 17 |
| 72.4 | 1.305 | 35 |
| 86.0 | 1.130 | 12 |

Crystal structure
Lattice parameters (Å, degrees): 4.5217 4.5217 4.5217 60.00 60.00 60.00
Positions (direct):
Ta 0.2500 0.2500 0.2500
Ta 0.7500 0.7500 0.7500
Re 0.0000 0.0000 0.0000
Os 0.5000 0.5000 0.5000

---

[2]
# Ba2Ca2Ti3Tl2O10
Theoretical powder diffraction line list, λ = 1.5418 Å (Cu Kα). Input: a structure optimized by DFT (PBE).

Principal peaks in the range 2θ = 10–90°, low angle first:
| 2θ (°) | d_spacing | I/Imax |
| --- | --- | --- |
| 30.3 | 2.953 | 47 |
| 30.5 | 2.934 | 49 |
| 30.7 | 2.915 | 50 |
| 30.8 | 2.899 | 52 |
| 32.2 | 2.779 | 100 |
| 46.2 | 1.965 | 51 |

Crystal structure
Lattice parameters (Å, degrees): 3.9284 3.9313 19.8611 94.63 95.29 90.03
Positions (direct):
Ba 0.0000 0.0000 0.0000
Ba 0.2989 0.2643 0.6389
Ca 0.1037 0.0996 0.2276
Ca 0.1878 0.1665 0.4118
Ti 0.5643 0.5636 0.1361
Ti 0.6450 0.6325 0.3197
Ti 0.7330 0.7027 0.5033
Tl 0.3740 0.4195 0.8772
Tl 0.8169 0.8581 0.7622
O 0.0717 0.5727 0.1578
O 0.1448 0.6324 0.3196
O 0.2201 0.6937 0.4810
O 0.2512 0.3932 0.7599
O 0.5270 0.5285 0.0455
O 0.5715 0.0728 0.1580
O 0.6447 0.1326 0.3200
O 0.7202 0.1940 0.4818
O 0.7786 0.7369 0.5937
O 0.7931 0.8972 0.8800

---

[3]
# Na2Y2B2O7
Theoretical powder diffraction line list, λ = 1.5418 Å (Cu Kα). Input: a structure optimized by DFT (PBE).

Principal peaks in the range 2θ = 10–90°, low angle first:
| 2θ (°) | d_spacing | I/Imax |
| --- | --- | --- |
| 29.8 | 2.998 | 77 |
| 29.9 | 2.983 | 100 |
| 32.9 | 2.719 | 53 |
| 33.1 | 2.710 | 58 |
| 33.6 | 2.665 | 73 |
| 48.1 | 1.890 | 47 |

Crystal structure
Lattice parameters (Å, degrees): 10.6790 6.2960 10.3570 90.00 117.74 90.00
Positions (direct):
Na 0.0235 0.0571 0.2602
Na 0.0235 0.4429 0.7602
Na 0.1114 0.7302 0.0489
Na 0.1114 0.7698 0.5489
Na 0.8886 0.2302 0.4511
Na 0.8886 0.2698 0.9511
Na 0.9765 0.5571 0.2398
Na 0.9765 0.9429 0.7398
Y 0.3172 0.0820 0.9142
Y 0.3172 0.4180 0.4142
Y 0.4846 0.5409 0.1828
Y 0.4846 0.9591 0.6828
Y 0.5154 0.0409 0.3172
Y 0.5154 0.4591 0.8172
Y 0.6828 0.5820 0.5858
Y 0.6828 0.9180 0.0858
B 0.1851 0.2470 0.5812
B 0.1851 0.2530 0.0812
B 0.2924 0.6532 0.8517
B 0.2924 0.8468 0.3517
B 0.7076 0.1532 0.6483
B 0.7076 0.3468 0.1483
B 0.8149 0.7470 0.9188
B 0.8149 0.7530 0.4188
O 0.1023 0.1685 0.9447
O 0.1023 0.3315 0.4447
O 0.1331 0.1481 0.6649
O 0.1331 0.3519 0.1649
O 0.1848 0.7471 0.8669
O 0.1848 0.7529 0.3669
O 0.3333 0.2370 0.1325
O 0.3333 0.2630 0.6325
O 0.3495 0.7438 0.2706
O 0.3495 0.7562 0.7706
O 0.3512 0.0416 0.4136
O 0.3512 0.4584 0.9136
O 0.4749 0.6240 0.5978
O 0.4749 0.8760 0.0978
O 0.5251 0.1240 0.9022
O 0.5251 0.3760 0.4022
O 0.6488 0.5416 0.0864
O 0.6488 0.9584 0.5864
O 0.6505 0.2438 0.2294
O 0.6505 0.2562 0.7294
O 0.6667 0.7370 0.3675
O 0.6667 0.7630 0.8675
O 0.8152 0.2471 0.6331
O 0.8152 0.2529 0.1331
O 0.8669 0.6481 0.8351
O 0.8669 0.8519 0.3351
O 0.8977 0.6685 0.5553
O 0.8977 0.8315 0.0553

---

[4]
# NaTa3O8
Theoretical powder diffraction line list, λ = 1.5418 Å (Cu Kα). Input: a structure optimized by DFT (PBE).

Principal peaks in the range 2θ = 10–90°, low angle first:
| 2θ (°) | d_spacing | I/Imax |
| --- | --- | --- |
| 14.8 | 6.004 | 57 |
| 29.8 | 3.002 | 100 |
| 30.4 | 2.938 | 93 |
| 35.3 | 2.544 | 49 |
| 49.9 | 1.828 | 67 |
| 59.6 | 1.552 | 31 |

Crystal structure
Lattice parameters (Å, degrees): 7.3199 7.3199 7.3199 120.07 88.13 122.11
Positions (direct):
Na 0.2500 0.2500 0.0000
Na 0.7500 0.7500 0.0000
Ta 0.2372 0.7390 0.9761
Ta 0.2500 0.7500 0.5000
Ta 0.2628 0.2390 0.5018
Ta 0.7372 0.7610 0.4982
Ta 0.7500 0.2500 0.5000
Ta 0.7628 0.2610 0.0239
O 0.0614 0.8980 0.5519
O 0.0695 0.6159 0.6854
O 0.1539 0.6020 0.1634
O 0.1737 0.9891 0.1628
O 0.3263 0.4891 0.8155
O 0.3461 0.5095 0.4481
O 0.4305 0.1159 0.5464
O 0.4386 0.9905 0.8366
O 0.5614 0.0095 0.1634
O 0.5695 0.8841 0.4536
O 0.6539 0.4905 0.5519
O 0.6737 0.5109 0.1845
O 0.8263 0.0109 0.8372
O 0.8461 0.3980 0.8366
O 0.9305 0.3841 0.3146
O 0.9386 0.1020 0.4481